Record 1
For Pr4Ni2Pt, a DFT-relaxed cell (PBE, Alexandria) gives the computed X-ray powder pattern in this record (copper Kα).

Most intense lines, 10° ≤ 2θ ≤ 90°, by angle:
- hkl 0 2 0, d = 3.324 Å, 26.82°, intensity 518
- hkl -1 2 1, d = 2.943 Å, 30.37°, intensity 1000
- hkl 1 -1 2, d = 2.897 Å, 30.87°, intensity 978
- hkl 2 1 -1, d = 2.825 Å, 31.67°, intensity 689
- hkl 1 2 -2, d = 2.812 Å, 31.82°, intensity 687
- hkl -2 1 2, d = 2.796 Å, 32.02°, intensity 840
- hkl 2 -2 1, d = 2.756 Å, 32.49°, intensity 594
- hkl 2 0 1, d = 2.468 Å, 36.40°, intensity 528
- hkl 2 1 -3, d = 2.336 Å, 38.55°, intensity 518
- hkl 3 -2 0, d = 2.291 Å, 39.32°, intensity 499

Cell and atoms:
```
data_Pr4Ni2Pt
_chemical_formula_sum 'Pr8 Ni4 Pt2'
_space_group_name_H-M_alt 'P 1'
_space_group_IT_number 1
_cell_length_a 7.385
_cell_length_b 7.763
_cell_length_c 7.772
_cell_angle_alpha 107.84
_cell_angle_beta 107.72
_cell_angle_gamma 107.64
loop_
_space_group_symop_operation_xyz
'x,y,z'
loop_
_atom_site_label
_atom_site_type_symbol
_atom_site_fract_x
_atom_site_fract_y
_atom_site_fract_z
_atom_site_occupancy
Pr1 Pr 0.000 0.000 0.000 1
Pr2 Pr 0.013 0.543 0.060 1
Pr3 Pr 0.080 0.688 0.576 1
Pr4 Pr 0.328 0.151 0.540 1
Pr5 Pr 0.499 0.605 0.395 1
Pr6 Pr 0.513 0.666 0.939 1
Pr7 Pr 0.580 0.181 0.083 1
Pr8 Pr 0.827 0.145 0.546 1
Ni1 Ni 0.054 0.320 0.336 1
Ni2 Ni 0.389 0.900 0.224 1
Ni3 Ni 0.555 0.941 0.716 1
Ni4 Ni 0.891 0.831 0.294 1
Pt1 Pt 0.239 0.294 0.907 1
Pt2 Pt 0.739 0.513 0.689 1
```


Record 2
For PrNi6Pt6, a DFT-relaxed cell (PBE, Alexandria) gives the computed X-ray powder pattern in this record (copper Kα).

Most intense lines, 10° ≤ 2θ ≤ 90°, by angle:
- hkl 0 2 2, d = 3.091 Å, 28.89°, intensity 305
- hkl 1 3 0, d = 2.505 Å, 35.85°, intensity 1000
- hkl 2 0 0, d = 2.493 Å, 36.03°, intensity 609
- hkl 0 0 4, d = 2.203 Å, 40.97°, intensity 329
- hkl 1 2 3, d = 2.187 Å, 41.28°, intensity 701
- hkl 0 4 0, d = 2.177 Å, 41.49°, intensity 931
- hkl 2 0 2, d = 2.169 Å, 41.63°, intensity 484
- hkl 0 2 4, d = 1.964 Å, 46.23°, intensity 531
- hkl 2 2 2, d = 1.942 Å, 46.79°, intensity 903
- hkl 1 3 6, d = 1.267 Å, 74.96°, intensity 340

Cell and atoms:
```
data_PrNi6Pt6
_chemical_formula_sum 'Pr2 Ni12 Pt12'
_space_group_name_H-M_alt 'I m m m'
_space_group_IT_number 71
_space_group_name_Hall '-I 2 2'
_cell_length_a 4.985
_cell_length_b 8.692
_cell_length_c 8.812
_cell_angle_alpha 90.00
_cell_angle_beta 90.00
_cell_angle_gamma 90.00
loop_
_atom_site_label
_atom_site_type_symbol
_atom_site_fract_x
_atom_site_fract_y
_atom_site_fract_z
_atom_site_occupancy
Pr1 Pr 0.000 0.000 0.000 1
Ni1 Ni 0.000 0.500 0.267 1
Ni2 Ni 0.250 0.250 0.250 1
Pt1 Pt 0.000 0.000 0.343 1
Pt2 Pt 0.000 0.293 0.500 1
Pt3 Pt 0.000 0.346 0.000 1
```


Record 3
For Pr2Ni4Sb3Pt, a DFT-relaxed cell (PBE, Alexandria) gives the computed X-ray powder pattern in this record (copper Kα).

Most intense lines, 10° ≤ 2θ ≤ 90°, by angle:
- hkl 1 1 1, d = 2.945 Å, 30.35°, intensity 157
- hkl 1 0 3, d = 2.692 Å, 33.29°, intensity 535
- hkl 1 1 2, d = 2.638 Å, 33.98°, intensity 1000
- hkl 2 0 0, d = 2.173 Å, 41.55°, intensity 620
- hkl 1 1 4, d = 1.972 Å, 46.02°, intensity 212
- hkl 1 0 5, d = 1.859 Å, 48.99°, intensity 215
- hkl 2 1 3, d = 1.691 Å, 54.25°, intensity 262
- hkl 2 2 0, d = 1.537 Å, 60.22°, intensity 203
- hkl 2 1 5, d = 1.413 Å, 66.14°, intensity 171
- hkl 3 1 2, d = 1.328 Å, 70.98°, intensity 229

Cell and atoms:
```
data_Pr2Ni4Sb3Pt
_chemical_formula_sum 'Pr2 Ni4 Sb3 Pt1'
_space_group_name_H-M_alt 'P -4 m 2'
_space_group_IT_number 115
_cell_length_a 4.347
_cell_length_b 4.347
_cell_length_c 10.284
_cell_angle_alpha 90.00
_cell_angle_beta 90.00
_cell_angle_gamma 90.00
loop_
_space_group_symop_operation_xyz
'x,y,z'
'y,-x,-z'
'-x,-y,z'
'-y,x,-z'
'-x,y,z'
'-y,-x,-z'
'x,-y,z'
'y,x,-z'
loop_
_atom_site_label
_atom_site_type_symbol
_atom_site_fract_x
_atom_site_fract_y
_atom_site_fract_z
_atom_site_occupancy
Pr1 Pr 0.000 0.500 0.249 1
Ni1 Ni 0.000 0.000 0.500 1
Ni2 Ni 0.000 0.500 0.871 1
Ni3 Ni 0.500 0.500 0.500 1
Sb1 Sb 0.000 0.000 0.000 1
Sb2 Sb 0.000 0.500 0.629 1
Pt1 Pt 0.500 0.500 0.000 1
```


Please write out number 2 again, unchanged.
For PrNi6Pt6, a DFT-relaxed cell (PBE, Alexandria) gives the computed X-ray powder pattern in this record (copper Kα).

Most intense lines, 10° ≤ 2θ ≤ 90°, by angle:
- hkl 0 2 2, d = 3.091 Å, 28.89°, intensity 305
- hkl 1 3 0, d = 2.505 Å, 35.85°, intensity 1000
- hkl 2 0 0, d = 2.493 Å, 36.03°, intensity 609
- hkl 0 0 4, d = 2.203 Å, 40.97°, intensity 329
- hkl 1 2 3, d = 2.187 Å, 41.28°, intensity 701
- hkl 0 4 0, d = 2.177 Å, 41.49°, intensity 931
- hkl 2 0 2, d = 2.169 Å, 41.63°, intensity 484
- hkl 0 2 4, d = 1.964 Å, 46.23°, intensity 531
- hkl 2 2 2, d = 1.942 Å, 46.79°, intensity 903
- hkl 1 3 6, d = 1.267 Å, 74.96°, intensity 340

Cell and atoms:
```
data_PrNi6Pt6
_chemical_formula_sum 'Pr2 Ni12 Pt12'
_space_group_name_H-M_alt 'I m m m'
_space_group_IT_number 71
_space_group_name_Hall '-I 2 2'
_cell_length_a 4.985
_cell_length_b 8.692
_cell_length_c 8.812
_cell_angle_alpha 90.00
_cell_angle_beta 90.00
_cell_angle_gamma 90.00
loop_
_atom_site_label
_atom_site_type_symbol
_atom_site_fract_x
_atom_site_fract_y
_atom_site_fract_z
_atom_site_occupancy
Pr1 Pr 0.000 0.000 0.000 1
Ni1 Ni 0.000 0.500 0.267 1
Ni2 Ni 0.250 0.250 0.250 1
Pt1 Pt 0.000 0.000 0.343 1
Pt2 Pt 0.000 0.293 0.500 1
Pt3 Pt 0.000 0.346 0.000 1
```